SnN2F6: simulated powder diffractogram (CuKα), based on the GGA-PBE geometry in the Materials Project.

Top 6 peaks for 2θ from 10° to 90°, by intensity:
h k l, d/Å, I_rel
0 1 1, 3.450, 100
1 0 0, 4.680, 94
0 2 1, 2.127, 47
0 0 1, 5.107, 36
2 0 2, 1.725, 28
1 1 1, 2.388, 27

Structure:
Unit cell a=5.4043 b=5.4043 c=5.1069 alpha=90.00 beta=90.00 gamma=120.00
Space group P-3m1 (No. 164)
One atom of each set of equivalent atoms:
Sn (0.0000, 0.0000, 0.0000) x1
N (0.3333, 0.6667, 0.6896) x2
F (0.1718, 0.3435, 0.2387) x6

Ti2NbNi9: simulated powder diffractogram (CuKα), based on the GGA-PBE geometry in the Materials Project.

Top 6 peaks for 2θ from 10° to 90°, by intensity:
h k l, d/Å, I_rel
2 2 6, 1.964, 100
1 0 12, 2.146, 52
4 0 0, 2.110, 39
3 0 12, 1.742, 26
4 4 0, 1.095, 25
0 4 0, 1.281, 20

Structure:
Unit cell a=8.4413 b=5.1235 c=26.6356 alpha=90.00 beta=90.00 gamma=90.00
Space group Amm2 (No. 38)
One atom of each set of equivalent atoms:
Ti (0.0000, 0.0000, 0.0000) x2
Ti (0.0000, 0.0000, 0.3355) x2
Ti (0.2494, 0.0000, 0.7782) x4
Ti (0.2501, 0.0000, 0.1111) x4
Ti (0.2495, 0.0000, 0.4448) x4
Nb (0.0000, 0.0000, 0.6677) x2
Nb (0.5000, 0.0000, 0.2224) x2
Nb (0.5000, 0.0000, 0.5539) x2
Nb (0.5000, 0.0000, 0.8882) x2
Ni (0.0000, 0.0000, 0.1686) x2
Ni (0.0000, 0.0000, 0.5017) x2
Ni (0.0000, 0.0000, 0.8352) x2
Ni (0.0000, 0.2420, 0.2509) x4
Ni (0.0000, 0.2431, 0.9170) x4
Ni (0.0000, 0.2446, 0.5830) x4
Ni (0.2471, 0.0000, 0.2785) x4
Ni (0.2475, 0.0000, 0.9445) x4
Ni (0.2474, 0.2474, 0.0278) x8
Ni (0.2475, 0.2485, 0.3614) x8
Ni (0.2497, 0.0000, 0.6108) x4
Ni (0.2498, 0.2500, 0.1946) x8
Ni (0.5000, 0.0000, 0.0543) x2
Ni (0.5000, 0.0000, 0.3880) x2
Ni (0.5000, 0.0000, 0.7211) x2
Ni (0.5000, 0.2434, 0.9720) x4
Ni (0.5000, 0.2444, 0.3061) x4
Ni (0.5000, 0.2445, 0.6388) x4

Question: Number 2 is which compound?
Answer: Ti2NbNi9